# Li2FeHgF6
Computed X-ray diffraction stick pattern, CuKα. Input: a cell relaxed with GGA+U.
No peak broadening, texture or thermal motion is included.

Structure:
```
Li2FeHgF6
1.0
0.000 4.390 4.390
4.390 0.000 4.390
4.390 4.390 0.000
Li Fe Hg F
2 1 1 6
Cartesian
2.195 2.195 2.195 Li
6.586 6.586 6.586 Li
0.000 0.000 0.000 Fe
4.390 4.390 4.390 Hg
4.390 4.390 1.957 F
4.390 1.957 4.390 F
6.824 4.390 4.390 F
1.957 4.390 4.390 F
4.390 6.824 4.390 F
4.390 4.390 6.824 F
```

Most intense lines, 5 to 70 degrees two-theta, by angle:
2theta  d_spacing  Rel. int.
17.49  5.070  28
20.23  4.390  100
28.76  3.105  54
33.86  2.648  28
41.12  2.195  27
45.00  2.014  18
46.24  1.963  42
50.95  1.792  22
59.56  1.552  16
63.57  1.463  20